(1)
Diffraction record for Li4MnCo2O7. The PXRD pattern is calculated, not measured: it uses a cell relaxed with PBE+U and λ = 1.5418 Å (Cu Kα).

Top 6 peaks for 2θ = 15–90°, by intensity:
| d [Å] | intensity |
| --- | --- |
| 4.823 | 100 |
| 2.116 | 29 |
| 2.053 | 27 |
| 2.046 | 27 |
| 2.526 | 14 |
| 2.477 | 13 |

Structural model:
Cell: 5.9274 6.5032 7.6457 Å, 104.75 110.96 103.17°
Element x y z (fractional)
Li1 0.0000 0.0000 0.0000
Li2 0.0716 0.5743 0.8585
Li3 0.2241 0.7208 0.5722
Li4 0.3566 0.8616 0.2869
Li5 0.5000 0.0000 0.0000
Li6 0.6434 0.1384 0.7131
Li7 0.7759 0.2792 0.4278
Li8 0.9284 0.4257 0.1415
Mn1 0.4244 0.4253 0.1399
Mn2 0.5756 0.5747 0.8601
Co1 0.1445 0.1398 0.7137
Co2 0.2710 0.2732 0.4148
Co3 0.7290 0.7268 0.5852
Co4 0.8555 0.8602 0.2863
O1 0.0728 0.2841 0.9318
O2 0.0854 0.8604 0.7636
O3 0.2110 0.4196 0.6589
O4 0.2446 0.0084 0.5088
O5 0.3316 0.5606 0.3468
O6 0.4039 0.1665 0.2183
O7 0.4598 0.6933 0.0604
O8 0.5402 0.3067 0.9396
O9 0.5961 0.8335 0.7817
O10 0.6684 0.4394 0.6532
O11 0.7554 0.9916 0.4912
O12 0.7890 0.5804 0.3411
O13 0.9146 0.1396 0.2364
O14 0.9272 0.7159 0.0682

***

(2)
Diffraction record for Li7Mn2Co3O12. The PXRD pattern is calculated, not measured: it uses a cell relaxed with PBE+U and λ = 1.5418 Å (Cu Kα).

Top 6 peaks for 2θ = 15–90°, by intensity:
| d [Å] | intensity |
| --- | --- |
| 4.833 | 100 |
| 2.192 | 36 |
| 2.066 | 29 |
| 2.012 | 25 |
| 2.615 | 21 |
| 1.482 | 16 |

Structural model:
Cell: 3.0216 7.8098 10.0920 Å, 111.57 91.61 97.71°
Element x y z (fractional)
Li1 0.0000 0.0000 0.0000
Li2 0.9998 0.0030 0.5093
Li3 0.3316 0.6657 0.3443
Li4 0.3378 0.6694 0.8305
Li5 0.6698 0.3332 0.6672
Li6 0.6721 0.3354 0.1732
Li7 0.8357 0.6687 0.5876
Mn1 0.5067 0.0059 0.2580
Mn2 0.8268 0.6653 0.0858
Co1 0.1608 0.3283 0.9150
Co2 0.1845 0.3513 0.4284
Co3 0.4945 0.9858 0.7485
O1 0.1138 0.1643 0.7228
O2 0.1179 0.1765 0.2300
O3 0.2114 0.4935 0.1150
O4 0.2388 0.4831 0.6103
O5 0.4326 0.8550 0.5658
O6 0.4494 0.8377 0.0567
O7 0.5656 0.1746 0.4543
O8 0.5944 0.1602 0.9443
O9 0.7337 0.4988 0.8852
O10 0.7750 0.4895 0.3837
O11 0.8872 0.8328 0.2892
O12 0.9062 0.8465 0.7913

***

(3)
Diffraction record for Li4MnCo2O7. The PXRD pattern is calculated, not measured: it uses a cell relaxed with PBE+U and λ = 1.5418 Å (Cu Kα).

Top 6 peaks for 2θ = 15–90°, by intensity:
| d [Å] | intensity |
| --- | --- |
| 4.849 | 100 |
| 2.099 | 29 |
| 2.082 | 28 |
| 2.063 | 27 |
| 1.460 | 14 |
| 2.506 | 14 |

Structural model:
Cell: 5.0921 5.1578 10.1278 Å, 99.57 100.23 99.88°
Element x y z (fractional)
Li1 0.0000 0.0000 0.0000
Li2 0.0022 0.0025 0.5021
Li3 0.1433 0.2906 0.2973
Li4 0.2827 0.5752 0.5694
Li5 0.4310 0.8520 0.8560
Li6 0.5702 0.1483 0.1471
Li7 0.7230 0.4274 0.4311
Li8 0.8640 0.7192 0.7088
Mn1 0.2859 0.5753 0.0722
Mn2 0.5691 0.1375 0.6419
Co1 0.1382 0.2798 0.7784
Co2 0.4417 0.8731 0.3627
Co3 0.7157 0.4301 0.9300
Co4 0.8660 0.7239 0.2266
O1 0.0724 0.6530 0.3820
O2 0.0817 0.6311 0.9031
O3 0.2119 0.9033 0.1735
O4 0.2417 0.9533 0.6840
O5 0.3507 0.2481 0.9654
O6 0.3788 0.2078 0.4757
O7 0.4900 0.5167 0.2420
O8 0.5138 0.4727 0.7538
O9 0.6275 0.7633 0.0411
O10 0.6298 0.8143 0.5417
O11 0.7688 0.0550 0.3195
O12 0.7804 0.0842 0.8164
O13 0.9220 0.3484 0.6224
O14 0.9400 0.3776 0.0974

***

(4)
Diffraction record for Li3MnCoO5. The PXRD pattern is calculated, not measured: it uses a cell relaxed with PBE+U and λ = 1.5418 Å (Cu Kα).

Top 6 peaks for 2θ = 15–90°, by intensity:
| d [Å] | intensity |
| --- | --- |
| 4.840 | 100 |
| 2.224 | 37 |
| 2.046 | 28 |
| 2.009 | 24 |
| 2.646 | 19 |
| 2.436 | 12 |

Structural model:
Cell: 3.0290 6.4026 9.8657 Å, 79.65 85.26 76.59°
Element x y z (fractional)
Li1 0.0000 0.0000 0.0000
Li2 0.0923 0.8082 0.2991
Li3 0.3041 0.3957 0.9038
Li4 0.5000 0.0000 0.5000
Li5 0.6959 0.6043 0.0962
Li6 0.9077 0.1918 0.7009
Mn1 0.2015 0.6016 0.6033
Mn2 0.7985 0.3984 0.3967
Co1 0.3979 0.1921 0.1893
Co2 0.6021 0.8079 0.8107
O1 0.0341 0.8846 0.6570
O2 0.1663 0.7096 0.9377
O3 0.2393 0.4761 0.2491
O4 0.3694 0.3139 0.5472
O5 0.4568 0.0742 0.8429
O6 0.5432 0.9258 0.1571
O7 0.6306 0.6861 0.4528
O8 0.7607 0.5239 0.7509
O9 0.8337 0.2904 0.0623
O10 0.9659 0.1154 0.3430

***

(5)
Diffraction record for Li2MnCoO4. The PXRD pattern is calculated, not measured: it uses a cell relaxed with PBE+U and λ = 1.5418 Å (Cu Kα).

Top 6 peaks for 2θ = 15–90°, by intensity:
| d [Å] | intensity |
| --- | --- |
| 4.789 | 100 |
| 2.072 | 51 |
| 2.502 | 28 |
| 2.117 | 27 |
| 2.570 | 15 |
| 1.493 | 15 |

Structural model:
Cell: 9.7322 9.7322 5.2169 Å, 95.51 95.51 17.21°
Element x y z (fractional)
Li1 0.0000 0.0000 0.0000
Li2 0.2479 0.2479 0.7420
Li3 0.5000 0.5000 0.5000
Li4 0.7521 0.7521 0.2580
Mn1 0.3753 0.3753 0.1259
Mn2 0.6247 0.6247 0.8741
Co1 0.1254 0.1254 0.3740
Co2 0.8746 0.8746 0.6260
O1 0.0675 0.0675 0.7096
O2 0.1814 0.1814 0.0345
O3 0.3184 0.3184 0.4159
O4 0.4300 0.4300 0.8337
O5 0.5700 0.5700 0.1663
O6 0.6816 0.6816 0.5841
O7 0.8186 0.8186 0.9655
O8 0.9325 0.9325 0.2904

***

(6)
Diffraction record for Li4Mn3CoO8. The PXRD pattern is calculated, not measured: it uses a cell relaxed with PBE+U and λ = 1.5418 Å (Cu Kα).

Top 6 peaks for 2θ = 15–90°, by intensity:
| d [Å] | intensity |
| --- | --- |
| 4.903 | 100 |
| 2.053 | 50 |
| 2.252 | 34 |
| 2.480 | 29 |
| 2.687 | 21 |
| 1.523 | 16 |

Structural model:
Cell: 5.4070 2.8658 9.8676 Å, 90.00 96.43 90.00°
Element x y z (fractional)
Li1 0.2421 0.0000 0.2466
Li2 0.2426 0.5000 0.7515
Li3 0.7574 0.5000 0.2485
Li4 0.7579 0.0000 0.7534
Mn1 0.0000 0.0000 0.5000
Mn2 0.5000 0.0000 0.0000
Mn3 0.5000 0.5000 0.5000
Co1 0.0000 0.5000 0.0000
O1 0.1100 0.5000 0.3854
O2 0.1139 0.0000 0.8787
O3 0.3705 0.5000 0.1097
O4 0.3953 0.0000 0.6159
O5 0.6047 0.0000 0.3841
O6 0.6295 0.5000 0.8903
O7 0.8861 0.0000 0.1213
O8 0.8900 0.5000 0.6146

***

(7)
Diffraction record for Li7Mn2Co3O12. The PXRD pattern is calculated, not measured: it uses a cell relaxed with PBE+U and λ = 1.5418 Å (Cu Kα).

Top 6 peaks for 2θ = 15–90°, by intensity:
| d [Å] | intensity |
| --- | --- |
| 4.802 | 100 |
| 2.166 | 34 |
| 2.045 | 28 |
| 2.009 | 26 |
| 2.589 | 19 |
| 2.463 | 12 |

Structural model:
Cell: 4.9732 5.0176 9.7872 Å, 79.31 87.76 63.01°
Element x y z (fractional)
Li1 0.0000 0.0000 0.0000
Li2 0.0026 0.2464 0.2435
Li3 0.3218 0.0919 0.7566
Li4 0.3230 0.5915 0.2413
Li5 0.6770 0.4085 0.7587
Li6 0.6782 0.9081 0.2434
Li7 0.9974 0.7536 0.7565
Mn1 0.3305 0.8304 0.4995
Mn2 0.6695 0.1696 0.5005
Co1 0.0000 0.5000 0.5000
Co2 0.3365 0.3212 0.9965
Co3 0.6635 0.6788 0.0035
O1 0.0126 0.8525 0.3820
O2 0.0332 0.3747 0.8846
O3 0.3174 0.2142 0.3948
O4 0.3168 0.4800 0.6151
O5 0.3408 0.9762 0.1164
O6 0.3773 0.6774 0.8873
O7 0.6227 0.3226 0.1127
O8 0.6592 0.0238 0.8836
O9 0.6832 0.5200 0.3849
O10 0.6826 0.7858 0.6052
O11 0.9668 0.6253 0.1154
O12 0.9874 0.1475 0.6180

***

(8)
Diffraction record for Li7Mn4CoO12. The PXRD pattern is calculated, not measured: it uses a cell relaxed with PBE+U and λ = 1.5418 Å (Cu Kα).

Top 6 peaks for 2θ = 15–90°, by intensity:
| d [Å] | intensity |
| --- | --- |
| 4.844 | 100 |
| 2.185 | 32 |
| 2.044 | 28 |
| 2.039 | 28 |
| 1.496 | 15 |
| 2.603 | 15 |

Structural model:
Cell: 5.0581 5.0885 8.9350 Å, 103.70 92.93 100.48°
Element x y z (fractional)
Li1 0.0000 0.0000 0.0000
Li2 0.0039 0.9875 0.3254
Li3 0.2336 0.5028 0.9250
Li4 0.4650 0.0108 0.8490
Li5 0.4702 0.0175 0.5228
Li6 0.4766 0.9905 0.1680
Li7 0.9818 0.0093 0.6827
Mn1 0.2285 0.5159 0.6015
Mn2 0.7314 0.5178 0.7680
Mn3 0.7343 0.5027 0.4215
Mn4 0.7377 0.4894 0.0837
Co1 0.2429 0.4848 0.2423
O1 0.0781 0.7494 0.8029
O2 0.0950 0.7349 0.4703
O3 0.1044 0.7190 0.1396
O4 0.3668 0.2810 0.7123
O5 0.3713 0.2732 0.3741
O6 0.3869 0.2602 0.0518
O7 0.5942 0.7427 0.6419
O8 0.6173 0.7101 0.2758
O9 0.6291 0.7209 0.9593
O10 0.8378 0.2853 0.8918
O11 0.8480 0.2956 0.5709
O12 0.8795 0.2660 0.2072